# Ba3In2MoO8
Computed XRD peak list, Cu Kα X-rays. Input: a crystal structure in Alexandria, relaxed with PBE+U.
Intensities are scaled so that the largest is 100.

Peak list (10 most intense, 10 to 90 degrees two-theta, in order of falling intensity)
2θ = 29.83°, intensity 100, hkl 1 1 0
2θ = 28.65°, intensity 80, hkl 0 1 2
2θ = 41.84°, intensity 42, hkl 2 0 2
2θ = 52.23°, intensity 30, hkl 1 2 2
2θ = 52.96°, intensity 19, hkl 3 0 0
2θ = 67.79°, intensity 16, hkl 2 1 4
2θ = 61.97°, intensity 16, hkl 2 2 0
2θ = 38.76°, intensity 14, hkl 1 0 3
2θ = 49.99°, intensity 13, hkl 1 0 4
2θ = 69.67°, intensity 13, hkl 3 1 2

Atomic structure:
Lattice parameters (Å, degrees): 5.9895 5.9895 7.7961 90.00 90.00 120.00
Sites, in units of the cell vectors:
1 Ba 0.0000 0.0000 0.0000
2 Ba 0.3333 0.6667 0.6375
3 Ba 0.6667 0.3333 0.3625
4 In 0.3333 0.6667 0.2039
5 In 0.6667 0.3333 0.7961
6 Mo 0.0000 0.0000 0.5000
7 O 0.1579 0.3158 0.3359
8 O 0.1579 0.8421 0.3359
9 O 0.3158 0.1579 0.6641
10 O 0.3333 0.6667 0.9502
11 O 0.6667 0.3333 0.0498
12 O 0.6842 0.8421 0.3359
13 O 0.8421 0.1579 0.6641
14 O 0.8421 0.6842 0.6641